Entry 1:
Computed powder diffraction line list
Compound: Gd3Al
Radiation: a wavelength of 1.5418 Å
Structure: a crystal structure in the Materials Project, relaxed with GGA-PBE

Main lines, by angle (2θ from 15° to 90°):
2θ (°), intensity
18.5, 19
26.2, 17
32.3, 100
37.4, 50
54.0, 35
64.3, 41
67.5, 12
88.8, 18

Structure:
Unit cell a=4.8043 b=4.8043 c=4.8043 alpha=90.00 beta=90.00 gamma=90.00
Sites, in units of the cell vectors:
1 Gd 0.0000 0.0000 0.5000
2 Gd 0.0000 0.5000 0.0000
3 Gd 0.5000 0.0000 0.0000
4 Al 0.5000 0.5000 0.5000



Entry 2:
Computed powder diffraction line list
Compound: MgZrTiPb2O6
Radiation: a wavelength of 1.5418 Å
Structure: a crystal structure in the Materials Project, relaxed with GGA-PBE

Main lines, by angle (2θ from 15° to 90°):
2θ (°), intensity
21.4, 100
27.1, 73
32.3, 56
33.0, 50
39.7, 43
46.9, 41
47.4, 28
54.5, 26

Structure:
Unit cell a=5.4192 b=5.4293 c=6.4447 alpha=90.00 beta=90.00 gamma=90.00
Sites, in units of the cell vectors:
1 Mg 0.0000 0.0000 0.0000
2 Zr 0.5000 0.0000 0.7667
3 Ti 0.0000 0.5000 0.7920
4 Pb 0.0000 0.0000 0.4523
5 Pb 0.5000 0.5000 0.1391
6 O 0.0000 0.5000 0.5215
7 O 0.2477 0.2583 0.9034
8 O 0.2477 0.7417 0.9034
9 O 0.5000 0.0000 0.4679
10 O 0.7523 0.2583 0.9034
11 O 0.7523 0.7417 0.9034



Entry 3:
Computed powder diffraction line list
Compound: NaGdTiNbO6F
Radiation: a wavelength of 1.5418 Å
Structure: a crystal structure in the Materials Project, relaxed with GGA-PBE

Main lines, by angle (2θ from 15° to 90°):
2θ (°), intensity
17.2, 58
23.5, 25
29.3, 100
30.4, 92
34.5, 32
38.8, 32
49.8, 64
58.0, 28

Structure:
Unit cell a=7.3254 b=7.3254 c=7.3254 alpha=121.50 beta=117.89 gamma=90.56
Sites, in units of the cell vectors:
1 Na 0.5000 0.0000 0.0000
2 Na 0.5000 0.5000 0.5000
3 Gd 0.0000 0.0000 0.0000
4 Gd 0.5000 0.0000 0.5000
5 Ti 0.0000 0.0000 0.5000
6 Ti 0.0000 0.5000 0.0000
7 Nb 0.0000 0.5000 0.5000
8 Nb 0.5000 0.5000 0.0000
9 O 0.0636 0.4141 0.2330
10 O 0.0636 0.8306 0.6496
11 O 0.0798 0.8298 0.2500
12 O 0.3173 0.5673 0.7500
13 O 0.3189 0.1694 0.7330
14 O 0.3189 0.5859 0.1496
15 O 0.6811 0.4141 0.8504
16 O 0.6811 0.8306 0.2670
17 O 0.6827 0.4327 0.2500
18 O 0.9202 0.1702 0.7500
19 O 0.9364 0.1694 0.3504
20 O 0.9364 0.5859 0.7670
21 F 0.3722 0.1222 0.2500
22 F 0.6278 0.8778 0.7500



Entry 4:
Computed powder diffraction line list
Compound: TbSiPt2
Radiation: a wavelength of 1.5418 Å
Structure: a crystal structure in the Materials Project, relaxed with GGA-PBE

Main lines, by angle (2θ from 15° to 90°):
2θ (°), intensity
32.7, 79
34.4, 95
35.5, 100
36.8, 72
40.1, 100
43.4, 58
44.1, 65
64.6, 70

Structure:
Unit cell a=7.3787 b=6.9539 c=5.5694 alpha=90.00 beta=90.00 gamma=90.00
Sites, in units of the cell vectors:
1 Tb 0.0282 0.2500 0.1384
2 Tb 0.4718 0.7500 0.6384
3 Tb 0.5282 0.2500 0.3616
4 Tb 0.9718 0.7500 0.8616
5 Si 0.1204 0.7500 0.3604
6 Si 0.3796 0.2500 0.8604
7 Si 0.6204 0.7500 0.1396
8 Si 0.8796 0.2500 0.6396
9 Pt 0.1805 0.0507 0.5919
10 Pt 0.1805 0.4493 0.5919
11 Pt 0.3195 0.5507 0.0919
12 Pt 0.3195 0.9493 0.0919
13 Pt 0.6805 0.0507 0.9081
14 Pt 0.6805 0.4493 0.9081
15 Pt 0.8195 0.5507 0.4081
16 Pt 0.8195 0.9493 0.4081



Entry 5:
Computed powder diffraction line list
Compound: Cd3Cl2O2
Radiation: a wavelength of 1.5418 Å
Structure: a crystal structure in the Materials Project, relaxed with GGA-PBE

Main lines, by angle (2θ from 15° to 90°):
2θ (°), intensity
19.6, 40
26.4, 46
30.0, 62
30.3, 100
33.2, 33
36.7, 48
38.9, 35
42.4, 42

Structure:
Unit cell a=6.5468 b=6.8314 c=6.7685 alpha=90.00 beta=116.13 gamma=90.00
Sites, in units of the cell vectors:
1 Cd 0.0000 0.0000 0.0000
2 Cd 0.0000 0.5000 0.5000
3 Cd 0.4117 0.1268 0.7703
4 Cd 0.4117 0.3732 0.2703
5 Cd 0.5883 0.6268 0.7297
6 Cd 0.5883 0.8732 0.2297
7 Cl 0.1914 0.6351 0.9352
8 Cl 0.1914 0.8649 0.4352
9 Cl 0.8086 0.1351 0.5648
10 Cl 0.8086 0.3649 0.0648
11 O 0.3314 0.1125 0.0634
12 O 0.3314 0.3875 0.5634
13 O 0.6686 0.6125 0.4366
14 O 0.6686 0.8875 0.9366



Entry 6:
Computed powder diffraction line list
Compound: Ba2CdReO6
Radiation: a wavelength of 1.5418 Å
Structure: a crystal structure in the Materials Project, relaxed with GGA-PBE

Main lines, by angle (2θ from 15° to 90°):
2θ (°), intensity
18.2, 5
29.9, 100
42.8, 28
53.0, 40
62.1, 18
70.4, 18
78.3, 6
86.0, 22

Structure:
Unit cell a=5.9801 b=5.9801 c=5.9801 alpha=60.00 beta=60.00 gamma=60.00
Sites, in units of the cell vectors:
1 Ba 0.2500 0.2500 0.2500
2 Ba 0.7500 0.7500 0.7500
3 Cd 0.0000 0.0000 0.0000
4 Re 0.5000 0.5000 0.5000
5 O 0.2705 0.2705 0.7295
6 O 0.2705 0.7295 0.2705
7 O 0.2705 0.7295 0.7295
8 O 0.7295 0.2705 0.2705
9 O 0.7295 0.2705 0.7295
10 O 0.7295 0.7295 0.2705



Entry 7:
Computed powder diffraction line list
Compound: PaFe3
Radiation: a wavelength of 1.5418 Å
Structure: a crystal structure in the Materials Project, relaxed with GGA-PBE

Main lines, by angle (2θ from 15° to 90°):
2θ (°), intensity
23.1, 53
32.9, 45
40.6, 100
47.3, 32
53.2, 17
58.7, 19
68.9, 20
83.3, 24

Structure:
Unit cell a=3.8473 b=3.8473 c=3.8577 alpha=90.00 beta=90.00 gamma=90.00
Sites, in units of the cell vectors:
1 Pa 0.0000 0.0000 0.0000
2 Fe 0.0000 0.5000 0.5000
3 Fe 0.5000 0.0000 0.5000
4 Fe 0.5000 0.5000 0.0000



Entry 8:
Computed powder diffraction line list
Compound: Ta6Fe7
Radiation: a wavelength of 1.5418 Å
Structure: a crystal structure in the Materials Project, relaxed with GGA-PBE

Main lines, by angle (2θ from 15° to 90°):
2θ (°), intensity
37.0, 100
40.5, 65
42.6, 70
43.1, 23
43.6, 40
69.0, 27
76.2, 21
78.7, 23

Structure:
Unit cell a=9.1806 b=9.1806 c=9.1806 alpha=30.71 beta=30.71 gamma=30.71
Sites, in units of the cell vectors:
1 Ta 0.0506 0.0506 0.0506
2 Ta 0.1547 0.1547 0.1547
3 Ta 0.3336 0.3336 0.3336
4 Ta 0.6664 0.6664 0.6664
5 Ta 0.8453 0.8453 0.8453
6 Ta 0.9494 0.9494 0.9494
7 Fe 0.0953 0.5899 0.5899
8 Fe 0.4101 0.4101 0.9047
9 Fe 0.4101 0.9047 0.4101
10 Fe 0.5000 0.5000 0.5000
11 Fe 0.5899 0.0953 0.5899
12 Fe 0.5899 0.5899 0.0953
13 Fe 0.9047 0.4101 0.4101



Entry 9:
Computed powder diffraction line list
Compound: Ac3Lu
Radiation: a wavelength of 1.5418 Å
Structure: a crystal structure in the Materials Project, relaxed with GGA-PBE

Main lines, by angle (2θ from 15° to 90°):
2θ (°), intensity
26.3, 23
28.3, 26
30.0, 100
39.0, 17
46.5, 20
51.1, 23
55.3, 25
56.3, 17

Structure:
Unit cell a=7.8194 b=7.8194 c=6.3073 alpha=90.00 beta=90.00 gamma=120.00
Sites, in units of the cell vectors:
1 Ac 0.1703 0.3405 0.2500
2 Ac 0.1703 0.8297 0.2500
3 Ac 0.3405 0.1703 0.7500
4 Ac 0.6595 0.8297 0.2500
5 Ac 0.8297 0.1703 0.7500
6 Ac 0.8297 0.6595 0.7500
7 Lu 0.3333 0.6667 0.7500
8 Lu 0.6667 0.3333 0.2500



Entry 10:
Computed powder diffraction line list
Compound: Pm2ZnHg
Radiation: a wavelength of 1.5418 Å
Structure: a crystal structure in the Materials Project, relaxed with GGA-PBE

Main lines, by angle (2θ from 15° to 90°):
2θ (°), intensity
20.5, 11
33.8, 100
39.9, 7
48.5, 18
53.2, 3
60.5, 38
71.1, 12
81.1, 16

Structure:
Unit cell a=5.3047 b=5.3047 c=5.3047 alpha=60.00 beta=60.00 gamma=60.00
Sites, in units of the cell vectors:
1 Pm 0.2500 0.2500 0.2500
2 Pm 0.7500 0.7500 0.7500
3 Zn 0.0000 0.0000 0.0000
4 Hg 0.5000 0.5000 0.5000